Calculated XRD peak list of KCoPH2O5 for copper Kα, from a crystal structure in the Materials Project, relaxed with GGA+U.

The 10 most intense peaks (2θ = 5–70°), in order of rising 2θ:
index, Position (°2θ), I/Imax
1 0 0, 10.5, 100.0
0 0 2, 21.2, 30.6
2 0 -2, 21.3, 18.3
1 1 -2, 24.2, 17.3
0 2 0, 31.7, 57.4
1 1 2, 32.3, 70.8
3 1 -2, 32.5, 68.3
2 0 -4, 37.3, 26.2
2 2 0, 38.4, 18.7
2 2 -4, 49.7, 23.7

Atomic structure:
```
data_KCoPH2O5
_cell_length_a 9.6519
_cell_length_b 5.6496
_cell_length_c 9.6565
_cell_angle_alpha 90.00
_cell_angle_beta 119.55
_cell_angle_gamma 90.00
_space_group_name_H-M_alt 'P 1 m 1'
_space_group_IT_number 6
loop_
_space_group_symop_operation_xyz
'x,y,z'
'x,-y,z'
loop_
_atom_site_label
_atom_site_type_symbol
_atom_site_fract_x
_atom_site_fract_y
_atom_site_fract_z
_atom_site_occupancy
K1 K 0.0000 0.0000 0.0000 1
K2 K 0.0005 0.0000 0.4984 1
K3 K 0.0730 0.5000 0.2851 1
K4 K 0.0726 0.5000 0.7839 1
Co1 Co 0.5162 0.5000 0.0663 1
Co2 Co 0.5188 0.5000 0.5673 1
Co3 Co 0.5533 0.0000 0.3341 1
Co4 Co 0.5569 0.0000 0.8349 1
P1 P 0.3246 0.0000 0.4339 1
P2 P 0.3276 0.0000 0.9354 1
P3 P 0.7445 0.5000 0.8955 1
P4 P 0.7454 0.5000 0.3953 1
H1 H 0.3418 0.3603 0.6891 1
H2 H 0.3422 0.3606 0.1913 1
H3 H 0.7299 0.1397 0.6338 1
H4 H 0.7315 0.1389 0.1357 1
O1 O 0.1451 0.0000 0.3158 1
O2 O 0.1480 0.0000 0.8187 1
O3 O 0.3233 0.5000 0.6204 1
O4 O 0.3259 0.5000 0.1228 1
O5 O 0.3549 0.0000 0.6060 1
O6 O 0.3593 0.0000 0.1080 1
O7 O 0.4080 0.2209 0.4027 1
O8 O 0.4119 0.2196 0.9049 1
O9 O 0.6592 0.2803 0.7816 1
O10 O 0.6630 0.2797 0.2826 1
O11 O 0.7133 0.5000 0.0370 1
O12 O 0.7136 0.5000 0.5376 1
O13 O 0.7464 0.0000 0.5822 1
O14 O 0.7515 0.0000 0.0860 1
O15 O 0.9236 0.5000 0.9545 1
O16 O 0.9254 0.5000 0.4578 1
```


Calculated XRD peak list of MgV2O4 for copper Kα, from a crystal structure in the Materials Project, relaxed with GGA+U.

The 10 most intense peaks (2θ = 5–70°), in order of rising 2θ:
index, Position (°2θ), I/Imax
0 0 2, 17.9, 32.5
1 1 0, 31.5, 26.3
0 2 3, 32.7, 100.0
0 2 4, 40.8, 19.7
1 3 0, 41.1, 31.9
1 3 1, 42.2, 48.4
1 3 2, 45.2, 53.4
1 1 5, 56.6, 23.7
1 5 3, 63.5, 22.8
0 6 3, 63.6, 23.4

Atomic structure:
```
data_MgV2O4
_cell_length_a 2.9660
_cell_length_b 9.7938
_cell_length_c 9.9140
_cell_angle_alpha 90.00
_cell_angle_beta 90.00
_cell_angle_gamma 90.00
_space_group_name_H-M_alt 'P b c m'
_space_group_IT_number 57
loop_
_space_group_symop_operation_xyz
'x,y,z'
'-x,-y,-z'
'-x,-y,z+1/2'
'x,y,-z+1/2'
'x,-y+1/2,-z'
'-x,y+1/2,z'
'-x,y+1/2,-z+1/2'
'x,-y+1/2,z+1/2'
loop_
_atom_site_label
_atom_site_type_symbol
_atom_site_fract_x
_atom_site_fract_y
_atom_site_fract_z
_atom_site_occupancy
Mg1 Mg 0.2299 0.1369 0.2500 1
V1 V 0.2597 0.6178 0.5732 1
O1 O 0.2130 0.2500 0.0000 1
O2 O 0.2593 0.5220 0.1141 1
O3 O 0.2750 0.7142 0.7500 1
```


Calculated XRD peak list of Li7Mn5O12 for copper Kα, from a crystal structure in the Materials Project, relaxed with GGA+U.

The 10 most intense peaks (2θ = 5–70°), in order of rising 2θ:
index, Position (°2θ), I/Imax
1 0 0, 18.4, 100.0
0 2 -2, 34.3, 17.5
0 2 1, 36.2, 11.8
1 0 -3, 36.3, 11.9
1 -2 2, 41.4, 34.8
1 2 1, 44.1, 28.8
2 0 -3, 44.2, 28.5
2 2 1, 58.3, 9.4
0 4 -1, 61.8, 8.6
1 2 -5, 62.0, 8.5

Atomic structure:
```
data_Li7Mn5O12
_cell_length_a 5.0803
_cell_length_b 6.0192
_cell_length_c 7.7995
_cell_angle_alpha 103.77
_cell_angle_beta 107.13
_cell_angle_gamma 91.43
_space_group_name_H-M_alt 'P -1'
_space_group_IT_number 2
loop_
_space_group_symop_operation_xyz
'x,y,z'
'-x,-y,-z'
loop_
_atom_site_label
_atom_site_type_symbol
_atom_site_fract_x
_atom_site_fract_y
_atom_site_fract_z
_atom_site_occupancy
Li1 Li 0.0000 0.0000 0.0000 1
Li2 Li 0.4867 0.5885 0.3285 1
Li3 Li 0.4897 0.2366 0.9992 1
Li4 Li 0.4980 0.9210 0.6675 1
Mn1 Mn 0.0000 0.5000 0.0000 1
Mn2 Mn 0.0039 0.6674 0.6717 1
Mn3 Mn 0.0066 0.1597 0.6728 1
O1 O 0.2137 0.3162 0.1589 1
O2 O 0.2197 0.6201 0.4930 1
O3 O 0.2241 0.7794 0.1682 1
O4 O 0.2331 0.1124 0.5030 1
O5 O 0.2339 0.9474 0.8192 1
O6 O 0.2361 0.4391 0.8412 1
```


Calculated XRD peak list of Li2VC2O6 for copper Kα, from a crystal structure in the Materials Project, relaxed with GGA+U.

The 10 most intense peaks (2θ = 5–70°), in order of rising 2θ:
index, Position (°2θ), I/Imax
0 1 1, 17.5, 100.0
1 1 -1, 22.9, 22.4
1 1 0, 25.0, 7.8
1 1 -2, 25.6, 24.3
0 2 0, 28.0, 7.4
1 2 0, 35.0, 18.7
0 2 2, 35.5, 29.0
1 1 2, 39.3, 7.4
2 1 -2, 39.4, 7.4
1 2 -3, 40.5, 8.2

Atomic structure:
```
data_Li2VC2O6
_cell_length_a 4.9041
_cell_length_b 6.3843
_cell_length_c 9.4824
_cell_angle_alpha 90.00
_cell_angle_beta 118.64
_cell_angle_gamma 90.00
_space_group_name_H-M_alt 'P 1 21/c 1'
_space_group_IT_number 14
loop_
_space_group_symop_operation_xyz
'x,y,z'
'-x,-y,-z'
'-x,y+1/2,-z+1/2'
'x,-y+1/2,z+1/2'
loop_
_atom_site_label
_atom_site_type_symbol
_atom_site_fract_x
_atom_site_fract_y
_atom_site_fract_z
_atom_site_occupancy
Li1 Li 0.1908 0.2187 0.1730 1
V1 V 0.5000 0.0000 0.0000 1
C1 C 0.1563 0.7331 0.6710 1
O1 O 0.1101 0.2019 0.9556 1
O2 O 0.1654 0.6779 0.2962 1
O3 O 0.4115 0.6752 0.6722 1
```